# 1
Theoretical X-ray diffraction stick pattern of Hg4TeS6 for CuKα, from a DFT-relaxed cell (PBE, Alexandria).

Structural model:
```
Hg4TeS6
1.0
6.1052 -4.5214 0.0000
6.1052 4.5214 0.0000
-3.0554 0.0000 11.8821
Hg Te S
8 2 12
direct
0.0163 0.9837 0.5000 Hg
0.0568 0.4028 0.8480 Hg
0.0634 0.6256 0.2160 Hg
0.4028 0.0568 0.3480 Hg
0.4320 0.5146 0.7142 Hg
0.5146 0.4320 0.2142 Hg
0.6256 0.0634 0.7160 Hg
0.9837 0.0163 0.0000 Hg
0.5159 0.9883 0.9910 Te
0.9883 0.5159 0.4910 Te
0.1034 0.6120 0.7385 S
0.1508 0.2409 0.0108 S
0.2409 0.1508 0.5108 S
0.2576 0.5994 0.4810 S
0.3149 0.7415 0.1899 S
0.4428 0.9027 0.7791 S
0.5994 0.2576 0.9810 S
0.6120 0.1034 0.2385 S
0.7415 0.3149 0.6899 S
0.7724 0.8445 0.5043 S
0.8445 0.7724 0.0043 S
0.9027 0.4428 0.2791 S
```

Peak list (8 most intense, 5 to 70 degrees two-theta, by angle)
2θ (°), d_spacing, I_rel
17.88, 4.962, 38
20.79, 4.272, 71
23.99, 3.710, 47
24.78, 3.593, 100
25.77, 3.458, 40
27.32, 3.264, 37
33.34, 2.688, 44
42.36, 2.134, 49


# 2
Theoretical X-ray diffraction stick pattern of Hg5TeS4 for CuKα, from a DFT-relaxed cell (PBE, Alexandria).

Structural model:
```
Hg5TeS4
1.0
4.3243 0.0000 0.0000
-2.1622 3.7450 0.0000
0.0000 0.0000 35.5517
Hg Te S
10 2 8
direct
0.0000 0.0000 0.0000 Hg
0.0000 0.0000 0.1910 Hg
0.0000 0.0000 0.3827 Hg
0.0000 0.0000 0.5742 Hg
0.0000 0.0000 0.7879 Hg
0.6667 0.3333 0.0952 Hg
0.6667 0.3333 0.2869 Hg
0.6667 0.3333 0.4785 Hg
0.6667 0.3333 0.6705 Hg
0.6667 0.3333 0.8835 Hg
0.6667 0.3333 0.7518 Te
0.6667 0.3333 0.9639 Te
0.0000 0.0000 0.0719 S
0.0000 0.0000 0.2643 S
0.0000 0.0000 0.4563 S
0.0000 0.0000 0.6482 S
0.0000 0.0000 0.8600 S
0.6667 0.3333 0.1681 S
0.6667 0.3333 0.3603 S
0.6667 0.3333 0.5522 S
```

Peak list (8 most intense, 5 to 70 degrees two-theta, by angle)
2θ (°), d_spacing, I_rel
23.76, 3.745, 56
25.05, 3.555, 31
26.91, 3.313, 100
34.79, 2.578, 24
41.78, 2.162, 50
45.28, 2.003, 29
49.33, 1.847, 31
50.40, 1.811, 19


# 3
Theoretical X-ray diffraction stick pattern of TiHgS2 for CuKα, from a DFT-relaxed cell (PBE, Alexandria).

Structural model:
```
TiHgS2
1.0
5.8281 -3.6776 0.0000
5.8281 3.6776 0.0000
-3.6727 0.0000 17.5254
Ti Hg S
8 8 16
direct
0.1961 0.7003 0.8286 Ti
0.2882 0.3061 0.6752 Ti
0.2997 0.8039 0.6714 Ti
0.3061 0.2882 0.1752 Ti
0.6939 0.7118 0.8248 Ti
0.7003 0.1961 0.3286 Ti
0.7118 0.6939 0.3248 Ti
0.8039 0.2997 0.1714 Ti
0.1057 0.6616 0.0766 Hg
0.3347 0.4075 0.4295 Hg
0.3384 0.8943 0.4234 Hg
0.4075 0.3347 0.9295 Hg
0.5925 0.6653 0.0705 Hg
0.6616 0.1057 0.5766 Hg
0.6653 0.5925 0.5705 Hg
0.8943 0.3384 0.9234 Hg
0.0324 0.4581 0.7609 S
0.0346 0.9654 0.7500 S
0.0733 0.1662 0.0904 S
0.1662 0.0733 0.5904 S
0.1677 0.5630 0.5915 S
0.4370 0.8323 0.9085 S
0.4581 0.0324 0.2609 S
0.4888 0.5112 0.2500 S
0.5112 0.4888 0.7500 S
0.5419 0.9676 0.7391 S
0.5630 0.1677 0.0915 S
0.8323 0.4370 0.4085 S
0.8338 0.9267 0.4096 S
0.9267 0.8338 0.9096 S
0.9654 0.0346 0.2500 S
0.9676 0.5419 0.2391 S
```

Peak list (8 most intense, 5 to 70 degrees two-theta, by angle)
2θ (°), d_spacing, I_rel
10.09, 8.763, 49
14.33, 6.182, 28
27.80, 3.209, 29
29.56, 3.022, 34
30.63, 2.919, 53
31.75, 2.818, 44
33.57, 2.669, 100
37.42, 2.403, 33


# 4
Theoretical X-ray diffraction stick pattern of Tl2HgS4 for CuKα, from a DFT-relaxed cell (PBE, Alexandria).

Structural model:
```
Tl2HgS4
1.0
3.3894 -5.2008 0.0000
3.3894 5.2008 0.0000
0.0000 0.0000 10.0573
Tl Hg S
4 2 8
direct
0.1990 0.7909 0.0000 Tl
0.2091 0.8010 0.5000 Tl
0.7909 0.1990 0.5000 Tl
0.8010 0.2091 0.0000 Tl
0.5000 0.5000 0.2500 Hg
0.5000 0.5000 0.7500 Hg
0.0000 0.5000 0.1897 S
0.0000 0.5000 0.8103 S
0.2337 0.3684 0.5000 S
0.3684 0.2337 0.0000 S
0.5000 0.0000 0.3103 S
0.5000 0.0000 0.6897 S
0.6316 0.7663 0.0000 S
0.7663 0.6316 0.5000 S
```

Peak list (8 most intense, 5 to 70 degrees two-theta, by angle)
2θ (°), d_spacing, I_rel
23.63, 3.765, 67
24.63, 3.615, 67
26.29, 3.389, 34
28.92, 3.087, 62
36.33, 2.473, 100
44.86, 2.020, 41
46.59, 1.949, 35
49.27, 1.849, 41


# 5
Theoretical X-ray diffraction stick pattern of Tl2Hg3S2 for CuKα, from a DFT-relaxed cell (PBE, Alexandria).

Structural model:
```
Tl2Hg3S2
1.0
4.0633 0.0000 0.0000
0.0000 4.0286 0.0000
-2.0154 0.0000 14.5138
Tl Hg S
2 3 2
direct
0.1210 0.0000 0.2411 Tl
0.8790 0.0000 0.7589 Tl
0.2959 0.5000 0.5909 Hg
0.5000 0.5000 0.0000 Hg
0.7041 0.5000 0.4091 Hg
0.4184 0.5000 0.8386 S
0.5816 0.5000 0.1614 S
```

Peak list (8 most intense, 5 to 70 degrees two-theta, by angle)
2θ (°), d_spacing, I_rel
25.29, 3.522, 84
26.78, 3.329, 100
30.81, 2.903, 44
31.42, 2.847, 80
32.64, 2.743, 21
42.23, 2.140, 46
51.96, 1.760, 31
53.15, 1.723, 32


# 6
Theoretical X-ray diffraction stick pattern of TlHgS14 for CuKα, from a DFT-relaxed cell (PBE, Alexandria).

Structural model:
```
TlHgS14
1.0
13.0315 -4.4934 0.0000
13.0315 4.4934 0.0000
-3.2011 0.0000 8.8466
Tl Hg S
2 2 28
direct
0.0409 0.9591 0.7500 Tl
0.9591 0.0409 0.2500 Tl
0.5000 0.5000 0.0000 Hg
0.5000 0.5000 0.5000 Hg
0.0322 0.6987 0.8842 S
0.0607 0.3652 0.7221 S
0.0727 0.8210 0.9708 S
0.1538 0.1930 0.2885 S
0.1783 0.4782 0.2773 S
0.1790 0.9273 0.5292 S
0.1930 0.1538 0.7885 S
0.2960 0.4269 0.4919 S
0.3005 0.5796 0.5973 S
0.3013 0.9678 0.6158 S
0.3652 0.0607 0.2221 S
0.4204 0.6995 0.9027 S
0.4269 0.2960 0.9919 S
0.4782 0.1783 0.7773 S
0.5218 0.8217 0.2227 S
0.5731 0.7040 0.0081 S
0.5796 0.3005 0.0973 S
0.6348 0.9393 0.7779 S
0.6987 0.0322 0.3842 S
0.6995 0.4204 0.4027 S
0.7040 0.5731 0.5081 S
0.8070 0.8462 0.2115 S
0.8210 0.0727 0.4708 S
0.8217 0.5218 0.7227 S
0.8462 0.8070 0.7115 S
0.9273 0.1790 0.0292 S
0.9393 0.6348 0.2779 S
0.9678 0.3013 0.1158 S
```

Peak list (8 most intense, 5 to 70 degrees two-theta, by angle)
2θ (°), d_spacing, I_rel
7.21, 12.254, 100
19.76, 4.493, 20
21.06, 4.219, 22
21.56, 4.121, 27
21.74, 4.087, 28
23.78, 3.741, 25
24.16, 3.684, 18
35.71, 2.514, 19


# 7
Theoretical X-ray diffraction stick pattern of TlHg6S8 for CuKα, from a DFT-relaxed cell (PBE, Alexandria).

Structural model:
```
TlHg6S8
1.0
5.4091 3.1229 3.5308
-5.4091 3.1229 3.5308
0.0000 -6.2458 3.5308
Tl Hg S
1 6 8
direct
0.0000 0.0000 0.0000 Tl
0.1394 0.2812 0.6152 Hg
0.2812 0.6152 0.1394 Hg
0.3848 0.8606 0.7188 Hg
0.6152 0.1394 0.2812 Hg
0.7188 0.3848 0.8606 Hg
0.8606 0.7188 0.3848 Hg
0.1054 0.6256 0.8103 S
0.1897 0.8946 0.3744 S
0.3744 0.1897 0.8946 S
0.4026 0.4026 0.4026 S
0.5974 0.5974 0.5974 S
0.6256 0.8103 0.1054 S
0.8103 0.1054 0.6256 S
0.8946 0.3744 0.1897 S
```

Peak list (8 most intense, 5 to 70 degrees two-theta, by angle)
2θ (°), d_spacing, I_rel
25.22, 3.531, 32
26.54, 3.358, 69
30.36, 2.944, 100
42.63, 2.121, 34
44.31, 2.044, 31
50.18, 1.818, 14
51.66, 1.769, 22
54.66, 1.679, 19


# 8
Theoretical X-ray diffraction stick pattern of Tl7Hg2S2 for CuKα, from a DFT-relaxed cell (PBE, Alexandria).

Structural model:
```
Tl7Hg2S2
1.0
4.6753 -6.0522 0.0000
4.6753 6.0522 0.0000
-1.7857 0.0000 6.2199
Tl Hg S
7 2 2
direct
0.0000 0.0000 0.0000 Tl
0.0178 0.4332 0.2227 Tl
0.3343 0.3343 0.7001 Tl
0.4332 0.0178 0.2227 Tl
0.5668 0.9822 0.7773 Tl
0.6657 0.6657 0.2999 Tl
0.9822 0.5668 0.7773 Tl
0.1383 0.8617 0.5000 Hg
0.8617 0.1383 0.5000 Hg
0.3523 0.3523 0.1847 S
0.6477 0.6477 0.8153 S
```

Peak list (8 most intense, 5 to 70 degrees two-theta, by angle)
2θ (°), d_spacing, I_rel
28.64, 3.117, 49
29.56, 3.022, 100
30.10, 2.969, 37
30.74, 2.908, 28
36.48, 2.463, 24
36.96, 2.432, 26
39.53, 2.280, 29
40.19, 2.244, 26